Record 1
YAg2C2O6: simulated powder diffraction line list (Cu Kα X-rays), based on a cell relaxed with GGA-PBE.
Neutral-atom scattering factors, no anomalous dispersion.

Principal peaks in the range 2θ from 10° to 90°, sorted by position:
23.60 deg, 3.770 Å, rel. 100; 30.99 deg, 2.886 Å, rel. 79; 36.08 deg, 2.489 Å, rel. 43; 40.64 deg, 2.220 Å, rel. 30; 43.16 deg, 2.096 Å, rel. 19; 43.57 deg, 2.077 Å, rel. 27; 51.62 deg, 1.771 Å, rel. 14; 57.81 deg, 1.595 Å, rel. 23

Atomic structure:
```
11
Lattice="4.9790 0.0000 0.0000 -2.4895 4.3119 0.0000 0.0000 0.0000 7.7684" Properties=species:S:1:pos:R:3 pbc="T T T"
Y 0.0000 0.0000 0.0000
Ag 0.0000 2.8746 3.1160
Ag 2.4895 1.4373 4.6524
C 0.0000 2.8746 6.4094
C 2.4895 1.4373 1.3590
O -1.2961 2.9211 6.4083
O 0.6078 1.7289 6.4083
O 1.8011 0.3381 1.3600
O 0.6884 3.9738 6.4083
O 1.8817 2.5830 1.3600
O 3.7856 1.3908 1.3600
```

Record 2
AcLa8Ho3: simulated powder diffraction line list (Cu Kα X-rays), based on a cell relaxed with GGA-PBE.
Neutral-atom scattering factors, no anomalous dispersion.

Principal peaks in the range 2θ from 10° to 90°, sorted by position:
15.08 deg, 5.874 Å, rel. 21; 21.37 deg, 4.158 Å, rel. 25; 30.34 deg, 2.946 Å, rel. 74; 30.48 deg, 2.933 Å, rel. 27; 30.63 deg, 2.919 Å, rel. 100; 34.15 deg, 2.625 Å, rel. 35; 43.53 deg, 2.079 Å, rel. 25; 49.10 deg, 1.856 Å, rel. 18

Atomic structure:
```
12
Lattice="-3.3996 5.7959 5.8949 3.3996 -5.7959 5.8949 3.3996 5.7959 -5.8949" Properties=species:S:1:pos:R:3 pbc="T T T"
Ac 0.0000 0.0000 0.0000
La 3.3996 3.7681 -2.8799
La 1.4925 3.2810 0.0000
La 1.9071 -2.5149 5.8949
La 0.0000 2.0278 3.0150
La 3.3996 3.7681 2.8799
La 1.4925 8.3108 0.0000
La 1.9071 2.5149 5.8949
La 0.0000 2.0278 8.7748
Ho 3.3996 0.0000 3.3469
Ho 0.0000 0.0000 5.8949
Ho 0.0000 5.7959 2.5480
```

Record 3
Sm2ErCr2C4: simulated powder diffraction line list (Cu Kα X-rays), based on a cell relaxed with GGA-PBE.
Neutral-atom scattering factors, no anomalous dispersion.

Principal peaks in the range 2θ from 10° to 90°, sorted by position:
26.84 deg, 3.322 Å, rel. 82; 27.80 deg, 3.210 Å, rel. 72; 31.46 deg, 2.844 Å, rel. 75; 34.18 deg, 2.623 Å, rel. 100; 37.18 deg, 2.418 Å, rel. 39; 39.89 deg, 2.260 Å, rel. 61; 40.42 deg, 2.232 Å, rel. 89; 53.16 deg, 1.723 Å, rel. 39

Atomic structure:
```
9
Lattice="6.5908 -1.7236 0.0000 6.5908 1.7236 0.0000 -1.9710 0.0000 5.6879" Properties=species:S:1:pos:R:3 pbc="T T T"
Sm 1.6795 0.0000 0.2325
Sm 9.5311 0.0000 5.4555
Er -0.9855 0.0000 2.8440
Cr 3.2232 0.0000 2.8606
Cr 7.9874 0.0000 2.8273
C 1.4861 0.0000 3.8495
C 4.5001 0.0000 4.1742
C 6.7105 0.0000 1.5138
C 9.7245 0.0000 1.8384
```

Record 4
AcNdHo4Er2: simulated powder diffraction line list (Cu Kα X-rays), based on a cell relaxed with GGA-PBE.
Neutral-atom scattering factors, no anomalous dispersion.

Principal peaks in the range 2θ from 10° to 90°, sorted by position:
26.57 deg, 3.354 Å, rel. 45; 30.00 deg, 2.979 Å, rel. 100; 40.50 deg, 2.227 Å, rel. 88; 53.32 deg, 1.718 Å, rel. 13; 60.40 deg, 1.532 Å, rel. 9; 60.54 deg, 1.529 Å, rel. 18; 63.67 deg, 1.461 Å, rel. 22; 68.93 deg, 1.362 Å, rel. 12

Atomic structure:
```
16
Lattice="6.8722 -6.7090 0.0000 6.8722 6.7090 0.0000 -3.4536 0.0000 5.9631" Properties=species:S:1:pos:R:3 pbc="T T T"
Ac 3.4361 3.3545 0.0000
Ac 1.7093 -3.3545 2.9816
Nd 0.0000 0.0000 0.0000
Nd -1.7268 0.0000 2.9816
Ho 1.7553 0.1384 3.0233
Ho 5.1014 3.2895 3.0575
Ho 3.4626 3.2895 5.8872
Ho 3.4821 -0.1384 0.0417
Ho 6.8087 0.1384 5.9214
Ho 6.8282 -3.2895 0.0760
Ho 5.1894 -3.2895 2.9056
Ho 8.5355 -0.1384 2.9399
Er 1.7093 3.3545 2.9816
Er 3.4361 -3.3545 0.0000
Er 6.8722 0.0000 0.0000
Er 5.1454 0.0000 2.9816
```

Record 5
Er8BiSb5: simulated powder diffraction line list (Cu Kα X-rays), based on a cell relaxed with GGA-PBE.
Neutral-atom scattering factors, no anomalous dispersion.

Principal peaks in the range 2θ from 10° to 90°, sorted by position:
30.92 deg, 2.892 Å, rel. 100; 36.76 deg, 2.445 Å, rel. 70; 48.77 deg, 1.867 Å, rel. 18; 50.87 deg, 1.795 Å, rel. 15; 62.55 deg, 1.485 Å, rel. 17; 62.70 deg, 1.482 Å, rel. 9; 64.35 deg, 1.448 Å, rel. 9; 66.18 deg, 1.412 Å, rel. 9

Atomic structure:
```
14
Lattice="-4.5785 4.5785 4.5639 4.5785 -4.5785 4.5639 4.5785 4.5785 -4.5639" Properties=species:S:1:pos:R:3 pbc="T T T"
Er 3.9049 3.0050 -2.7573
Er 3.9021 1.6331 0.5082
Er 0.6736 1.5735 1.8066
Er 2.9454 -0.6765 4.0557
Er 1.6331 5.2550 -0.5082
Er 1.5735 -0.6736 7.3212
Er 3.0050 5.2521 2.7573
Er 0.6765 2.9454 5.0721
Bi 0.0000 4.5785 2.2819
Sb 1.1594 2.2935 -1.1221
Sb 6.8636 1.1594 1.1221
Sb 0.0000 0.0000 4.5639
Sb 3.4191 2.2850 3.4418
Sb -2.2850 3.4191 5.6860
```

Record 6
CeTiTe3: simulated powder diffraction line list (Cu Kα X-rays), based on a cell relaxed with GGA-PBE.
Neutral-atom scattering factors, no anomalous dispersion.

Principal peaks in the range 2θ from 10° to 90°, sorted by position:
24.60 deg, 3.618 Å, rel. 27; 27.68 deg, 3.223 Å, rel. 67; 28.59 deg, 3.123 Å, rel. 100; 32.13 deg, 2.786 Å, rel. 27; 32.39 deg, 2.764 Å, rel. 44; 34.53 deg, 2.598 Å, rel. 81; 36.31 deg, 2.474 Å, rel. 34; 37.62 deg, 2.391 Å, rel. 75

Atomic structure:
```
20
Lattice="12.3810 0.0000 0.0000 0.0000 7.5512 0.0000 0.0000 0.0000 6.1787" Properties=species:S:1:pos:R:3 pbc="T T T"
Ce 2.0981 0.3553 1.5447
Ce 2.0981 3.4203 4.6340
Ce 10.2829 4.1309 1.5447
Ce 10.2829 7.1958 4.6340
Ti 5.2013 1.8878 0.0000
Ti 5.2013 1.8878 3.0893
Ti 7.1797 5.6634 0.0000
Ti 7.1797 5.6634 3.0893
Te 0.3602 5.6634 0.0000
Te 0.3602 5.6634 3.0893
Te 3.2211 0.4912 4.6340
Te 3.2211 3.2844 1.5447
Te 5.1451 4.3709 4.6340
Te 5.1451 6.9558 1.5447
Te 7.2358 0.5954 4.6340
Te 7.2358 3.1802 1.5447
Te 9.1598 4.2667 4.6340
Te 9.1598 7.0600 1.5447
Te 12.0208 1.8878 0.0000
Te 12.0208 1.8878 3.0893
```